This entry pairs a crystal structure of HoPa2N4 with its computed X-ray powder pattern. Radiation: Cu Ka. Structure: a crystal structure in OQMD, relaxed with GGA-PBE.

Crystal structure
a = 7.3505 Å, b = 7.3505 Å, c = 7.0207 Å
α = 90.00°, β = 90.00°, γ = 90.00°
Space group I-42d (No. 122)
Asymmetric unit:
Ho (0.0000, 0.0000, 0.0000)
Pa (0.1425, 0.2500, 0.6250)
N (0.0627, 0.1836, 0.3190)

Largest 10 diffraction maxima, in order of rising 2θ, 2θ = 10–80°:
2θ/deg  I_rel  (hkl)
30.02  1000  2 1 1
30.74  631  1 1 2
38.74  229  3 1 0
38.93  295  3 0 1
40.45  178  1 0 3
46.38  185  3 2 1
47.70  154  2 1 3
56.53  161  4 0 2
58.25  150  2 0 4
60.20  210  3 2 3

---

This entry pairs a crystal structure of HoPa3N6 with its computed X-ray powder pattern. Radiation: Cu Ka. Structure: a crystal structure in OQMD, relaxed with GGA-PBE.

Crystal structure
a = 7.7713 Å, b = 11.1393 Å, c = 3.6574 Å
α = 90.00°, β = 90.00°, γ = 90.00°
Space group Cmmm (No. 65)
Asymmetric unit:
Ho (0.0000, 0.0000, 0.0000)
Pa (0.0000, 0.5000, 0.0000)
Pa (0.2500, 0.2500, 0.5000)
N (0.0000, 0.1487, 0.5000)
N (0.2026, 0.3702, 0.0000)

Largest 10 diffraction maxima, in order of rising 2θ, 2θ = 10–80°:
2θ/deg  I_rel  (hkl)
28.00  1000  2 2 0
29.21  922  0 2 1
32.14  293  0 4 0
33.65  527  2 0 1
47.22  573  2 4 1
54.80  167  2 6 0
55.51  155  0 6 1
56.09  308  4 2 1
58.16  270  2 2 2
77.28  235  2 6 2

---

This entry pairs a crystal structure of Ho3PaN4 with its computed X-ray powder pattern. Radiation: Cu Ka. Structure: a crystal structure in OQMD, relaxed with GGA-PBE.

Crystal structure
a = 6.8993 Å, b = 9.7077 Å, c = 3.4629 Å
α = 90.00°, β = 90.00°, γ = 90.00°
Space group Cmmm (No. 65)
Asymmetric unit:
Ho (0.0000, 0.0000, 0.0000)
Ho (0.2500, 0.2500, 0.5000)
Pa (0.0000, 0.5000, 0.0000)
N (0.0000, 0.2583, 0.0000)
N (0.2437, 0.5000, 0.5000)

Largest 10 diffraction maxima, in order of rising 2θ, 2θ = 10–80°:
2θ/deg  I_rel  (hkl)
31.78  1000  2 2 0
36.77  462  2 0 1
37.04  226  0 4 0
52.88  81  0 0 2
53.17  396  4 0 0
63.05  151  2 2 2
63.20  150  4 2 1
63.48  148  2 6 0
66.32  81  0 4 2
66.51  80  4 4 0

---

This entry pairs a crystal structure of TbHoPbN with its computed X-ray powder pattern. Radiation: Cu Ka. Structure: a crystal structure in OQMD, relaxed with GGA-PBE.

Crystal structure
a = 3.5469 Å, b = 3.5469 Å, c = 15.6240 Å
α = 90.00°, β = 90.00°, γ = 120.00°
Space group P-3m1 (No. 164)
Asymmetric unit:
Tb (0.3333, 0.6667, 0.0841)
Ho (0.3333, 0.6667, 0.4175)
Pb (0.3333, 0.6667, 0.7483)
N (0.0000, 0.0000, 0.0000)
N (0.0000, 0.0000, 0.5000)

Largest 10 diffraction maxima, in order of rising 2θ, 2θ = 10–80°:
2θ/deg  I_rel  (hkl)
29.07  221  1 0 0
33.88  1000  1 0 3
34.44  201  0 0 6
45.68  160  0 1 6
51.53  215  1 1 0
60.26  30  2 0 0
61.34  183  1 0 9
63.11  169  0 2 3
63.46  213  1 1 6
71.29  42  2 0 6

---

This entry pairs a crystal structure of Ho3TmPb2N2 with its computed X-ray powder pattern. Radiation: Cu Ka. Structure: a crystal structure in OQMD, relaxed with GGA-PBE.

Crystal structure
a = 3.5197 Å, b = 3.5197 Å, c = 15.4698 Å
α = 90.00°, β = 90.00°, γ = 120.00°
Space group P3m1 (No. 156)
Asymmetric unit:
Ho (0.0000, 0.0000, 0.0000)
Ho (0.0000, 0.0000, 0.3336)
Ho (0.3333, 0.6667, 0.5006)
Tm (0.3333, 0.6667, 0.8344)
Pb (0.0000, 0.0000, 0.6682)
Pb (0.3333, 0.6667, 0.1666)
N (0.6667, 0.3333, 0.4171)
N (0.6667, 0.3333, 0.9148)

Largest 10 diffraction maxima, in order of rising 2θ, 2θ = 10–80°:
2θ/deg  I_rel  (hkl)
29.30  222  1 0 0
34.17  1000  0 1 3
34.80  201  0 0 6
46.11  159  1 0 6
51.96  215  1 1 0
60.77  30  2 0 0
61.98  184  0 1 9
63.67  169  2 0 3
64.06  213  1 1 6
71.97  42  0 2 6